No. 1
Structure and simulated XRD peak list of Cu3AgPd7 (a PBE-relaxed structure; Cu Kα (weighted mean of Kα1 and Kα2)).

Structural model:
abc: 5.5290 5.5290 6.5110
angles: 90.00 90.00 120.00
Space group P3m1 (No. 156)
Unique sites:
Cu1 0.0067 0.5034 0.0000 [3 per cell]
Ag1 0.6667 0.3333 0.3255 [1 per cell]
Pd1 0.1654 0.3308 0.3207 [3 per cell]
Pd2 0.3297 0.1649 0.6867 [3 per cell]
Pd3 0.3333 0.6667 0.6768 [1 per cell]

Peak list (12 most intense, 2θ from 10° to 90°, in order of rising 2θ)
2θ 13.6, d = 6.511 Å, I = 10; 2θ 27.4, d = 3.255 Å, I = 10; 2θ 37.6, d = 2.394 Å, I = 5; 2θ 40.1, d = 2.247 Å, I = 100; 2θ 41.6, d = 2.170 Å, I = 26; 2θ 47.1, d = 1.929 Å, I = 57; 2θ 67.8, d = 1.382 Å, I = 19; 2θ 69.9, d = 1.346 Å, I = 19; 2θ 81.8, d = 1.177 Å, I = 12; 2θ 82.8, d = 1.166 Å, I = 20; 2θ 84.7, d = 1.144 Å, I = 9; 2θ 86.7, d = 1.124 Å, I = 9

---

No. 2
Structure and simulated XRD peak list of Cu4AgPd4 (a PBE-relaxed structure; Cu Kα (weighted mean of Kα1 and Kα2)).

Structural model:
abc: 4.673 4.693 6.200
angles: 74.35 81.61 81.16
Space group P-1 (No. 2)
Unique sites:
Cu1 0.056 0.264 0.386 [2 per cell]
Cu2 0.273 0.383 0.954 [2 per cell]
Ag1 0.500 0.500 0.500 [1 per cell]
Pd1 0.157 0.815 0.172 [2 per cell]
Pd2 0.391 0.931 0.731 [2 per cell]

Peak list (12 most intense, 2θ from 10° to 90°, in order of rising 2θ)
2θ 40.4, d = 2.231 Å, I = 100; 2θ 40.6, d = 2.224 Å, I = 50; 2θ 40.9, d = 2.207 Å, I = 48; 2θ 46.3, d = 1.962 Å, I = 34; 2θ 47.2, d = 1.926 Å, I = 31; 2θ 48.1, d = 1.890 Å, I = 29; 2θ 68.1, d = 1.377 Å, I = 10; 2θ 68.4, d = 1.371 Å, I = 10; 2θ 68.6, d = 1.368 Å, I = 10; 2θ 69.4, d = 1.354 Å, I = 19; 2θ 70.0, d = 1.345 Å, I = 9; 2θ 83.0, d = 1.164 Å, I = 11